Mn5Fe5C4: calculated powder X-ray diffraction pattern (a wavelength of 1.5418 Å), based on DFT lattice parameters and positions (PBE).
Neutral-atom scattering factors, no anomalous dispersion.

Structure:
```
Mn5Fe5C4
1.0
4.482 0.000 0.000
-0.009 4.999 0.000
-2.236 -0.776 5.769
Mn Fe C
5 5 4
Cartesian
0.000 0.000 0.000 Mn
-0.700 2.463 2.497 Mn
-0.092 -0.038 2.497 Mn
-0.765 2.419 4.977 Mn
0.001 -0.094 4.984 Mn
1.463 1.770 1.326 Fe
2.216 4.264 1.338 Fe
1.451 3.152 3.643 Fe
2.223 0.651 3.631 Fe
3.708 2.497 0.017 Fe
-1.236 3.917 3.779 C
0.426 3.493 1.205 C
0.428 1.420 3.773 C
3.253 0.993 1.198 C
```

The 6 most intense peaks (2θ from 10° to 90°), low angle first:
2θ = 41.47°, I = 30
2θ = 41.54°, I = 26
2θ = 44.14°, I = 100
2θ = 44.36°, I = 58
2θ = 45.57°, I = 36
2θ = 48.08°, I = 28

---

Mn4FeC2: calculated powder X-ray diffraction pattern (a wavelength of 1.5418 Å), based on DFT lattice parameters and positions (PBE).
Neutral-atom scattering factors, no anomalous dispersion.

Structure:
```
Mn4FeC2
1.0
5.795 -2.245 0.000
5.795 2.245 0.000
-0.642 0.000 4.962
Mn Fe C
8 2 4
Cartesian
0.000 0.000 0.000 Mn
2.165 0.726 2.782 Mn
4.453 0.717 1.662 Mn
4.117 -0.074 4.117 Mn
6.495 0.717 3.300 Mn
6.832 -0.074 0.845 Mn
8.783 0.726 2.181 Mn
5.474 -1.588 2.481 Mn
2.473 -0.023 0.305 Fe
8.475 -0.023 4.657 Fe
1.117 -0.493 1.630 C
4.373 -1.085 0.842 C
6.575 -1.085 4.120 C
9.832 -0.493 3.333 C
```

The 6 most intense peaks (2θ from 10° to 90°), low angle first:
2θ = 41.45°, I = 37
2θ = 44.28°, I = 100
2θ = 45.11°, I = 15
2θ = 45.65°, I = 23
2θ = 48.00°, I = 17
2θ = 50.59°, I = 15